1.
The following is a theoretical powder diffraction line list of Dy5HoEr3. It was derived from a cell relaxed with GGA-PBE, using a wavelength of 1.5418 Å.
Intensities are scaled so that the largest is 100.

Most intense lines, 2θ from 5° to 70°, by intensity:
2.837 Å, 31.53°, I = 100, (0 4 0)
2.739 Å, 32.69°, I = 75, (5 1 -3)
2.770 Å, 32.32°, I = 73, (1 1 -3)
2.562 Å, 35.02°, I = 70, (4 2 0)
5.675 Å, 15.62°, I = 64, (0 2 0)
2.280 Å, 39.53°, I = 49, (1 3 -3)
2.262 Å, 39.85°, I = 44, (5 3 -3)
3.029 Å, 29.49°, I = 41, (2 2 1)
3.101 Å, 28.79°, I = 34, (4 2 -2)
2.756 Å, 32.49°, I = 30, (2 2 -3)

Crystal structure
```
data_Dy5HoEr3
_cell_length_a 14.9951
_cell_length_b 11.3493
_cell_length_c 9.7993
_cell_angle_alpha 90.00
_cell_angle_beta 130.01
_cell_angle_gamma 90.00
_symmetry_space_group_name_H-M 'C 1 2/m 1'
_symmetry_Int_Tables_number 12
loop_
_symmetry_equiv_pos_as_xyz
'x,y,z'
'-x,-y,-z'
'-x,y,-z'
'x,-y,z'
'x+1/2,y+1/2,z'
'-x+1/2,-y+1/2,-z'
'-x+1/2,y+1/2,-z'
'x+1/2,-y+1/2,z'
loop_
_atom_site_label
_atom_site_type_symbol
_atom_site_fract_x
_atom_site_fract_y
_atom_site_fract_z
Dy1 Dy 0.0000 0.2424 0.0000
Dy2 Dy 0.1485 0.2482 0.7474
Dy3 Dy 0.2223 0.5000 0.0392
Dy4 Dy 0.2239 0.0000 0.2344
Ho1 Ho 0.2475 0.0000 0.5982
Er1 Er 0.0000 0.0000 0.5000
Er2 Er 0.0000 0.5000 0.0000
Er3 Er 0.0100 0.0000 0.8195
Er4 Er 0.0194 0.5000 0.3601
```

2.
The following is a theoretical powder diffraction line list of K2Pr2RuO6. It was derived from a cell relaxed with GGA-PBE, using a wavelength of 1.5418 Å.
Intensities are scaled so that the largest is 100.

Most intense lines, 2θ from 5° to 70°, by intensity:
6.401 Å, 13.83°, I = 100, (0 0 1)
2.578 Å, 34.80°, I = 52, (1 3 1)
2.833 Å, 31.58°, I = 31, (1 3 -1)
3.200 Å, 27.88°, I = 26, (0 0 2)
2.490 Å, 36.07°, I = 23, (2 0 -2)
2.973 Å, 30.06°, I = 21, (1 3 0)
2.945 Å, 30.35°, I = 18, (2 0 0)
1.844 Å, 49.42°, I = 15, (1 3 -3)
1.742 Å, 52.52°, I = 15, (3 3 -1)
2.056 Å, 44.05°, I = 14, (1 3 2)

Crystal structure
```
data_K2Pr2RuO6
_cell_length_a 6.0728
_cell_length_b 10.3326
_cell_length_c 6.5995
_cell_angle_alpha 90.00
_cell_angle_beta 104.09
_cell_angle_gamma 90.00
_symmetry_space_group_name_H-M 'C 1 2/m 1'
_symmetry_Int_Tables_number 12
loop_
_symmetry_equiv_pos_as_xyz
'x,y,z'
'-x,-y,-z'
'-x,y,-z'
'x,-y,z'
'x+1/2,y+1/2,z'
'-x+1/2,-y+1/2,-z'
'-x+1/2,y+1/2,-z'
'x+1/2,-y+1/2,z'
loop_
_atom_site_label
_atom_site_type_symbol
_atom_site_fract_x
_atom_site_fract_y
_atom_site_fract_z
K1 K 0.0000 0.1548 0.0000
Pr1 Pr 0.0000 0.3342 0.5000
Ru1 Ru 0.0000 0.0000 0.5000
O1 O 0.1965 0.1526 0.6747
O2 O 0.2299 0.0000 0.3248
```

3.
The following is a theoretical powder diffraction line list of AgBi2Se3. It was derived from a cell relaxed with GGA-PBE, using a wavelength of 1.5418 Å.
Intensities are scaled so that the largest is 100.

Most intense lines, 2θ from 5° to 70°, by intensity:
3.011 Å, 29.67°, I = 100, (1 0 1)
2.103 Å, 43.00°, I = 72, (1 6 1)
2.939 Å, 30.41°, I = 55, (0 6 0)
1.816 Å, 50.25°, I = 36, (2 6 0)
2.310 Å, 38.99°, I = 29, (2 0 0)
3.633 Å, 24.51°, I = 26, (1 3 0)
3.290 Å, 27.11°, I = 15, (0 3 1)
1.984 Å, 45.72°, I = 14, (0 0 2)
2.486 Å, 36.13°, I = 14, (1 4 1)
2.849 Å, 31.40°, I = 13, (1 2 1)

Crystal structure
```
data_AgBi2Se3
_cell_length_a 4.6200
_cell_length_b 17.6367
_cell_length_c 3.9692
_cell_angle_alpha 90.00
_cell_angle_beta 90.00
_cell_angle_gamma 90.00
_symmetry_space_group_name_H-M 'I m m 2'
_symmetry_Int_Tables_number 44
loop_
_symmetry_equiv_pos_as_xyz
'x,y,z'
'-x,-y,z'
'-x,y,z'
'x,-y,z'
'x+1/2,y+1/2,z+1/2'
'-x+1/2,-y+1/2,z+1/2'
'-x+1/2,y+1/2,z+1/2'
'x+1/2,-y+1/2,z+1/2'
loop_
_atom_site_label
_atom_site_type_symbol
_atom_site_fract_x
_atom_site_fract_y
_atom_site_fract_z
Ag1 Ag 0.0000 0.0000 0.0000
Bi1 Bi 0.0000 0.3378 0.1847
Se1 Se 0.0000 0.1668 0.2116
Se2 Se 0.0000 0.5000 0.1504
```

4.
The following is a theoretical powder diffraction line list of TmMg2Te3. It was derived from a cell relaxed with GGA-PBE, using a wavelength of 1.5418 Å.
Intensities are scaled so that the largest is 100.

Most intense lines, 2θ from 5° to 70°, by intensity:
12.081 Å, 7.32°, I = 100, (0 0 1)
8.318 Å, 10.64°, I = 75, (1 0 0)
3.678 Å, 24.20°, I = 68, (1 1 -1)
2.745 Å, 32.62°, I = 55, (2 1 -2)
2.472 Å, 36.34°, I = 51, (2 1 -3)
2.257 Å, 39.95°, I = 47, (3 1 1)
2.716 Å, 32.98°, I = 42, (1 1 3)
2.145 Å, 42.13°, I = 32, (0 2 0)
2.825 Å, 31.68°, I = 32, (1 1 -3)
2.764 Å, 32.39°, I = 32, (1 0 4)

Crystal structure
```
data_TmMg2Te3
_cell_length_a 8.3491
_cell_length_b 4.2901
_cell_length_c 12.1251
_cell_angle_alpha 90.00
_cell_angle_beta 94.91
_cell_angle_gamma 90.00
_symmetry_space_group_name_H-M 'P 1 21/m 1'
_symmetry_Int_Tables_number 11
loop_
_symmetry_equiv_pos_as_xyz
'x,y,z'
'-x,-y,-z'
'-x,y+1/2,-z'
'x,-y+1/2,z'
loop_
_atom_site_label
_atom_site_type_symbol
_atom_site_fract_x
_atom_site_fract_y
_atom_site_fract_z
Tm1 Tm 0.1580 0.2500 0.3492
Mg1 Mg 0.0850 0.7500 0.0867
Mg2 Mg 0.4281 0.2500 0.5760
Te1 Te 0.1051 0.7500 0.8535
Te2 Te 0.1751 0.7500 0.5394
Te3 Te 0.3528 0.7500 0.2363
```

5.
The following is a theoretical powder diffraction line list of Hg2SbPb. It was derived from a cell relaxed with GGA-PBE, using a wavelength of 1.5418 Å.
Intensities are scaled so that the largest is 100.

Most intense lines, 2θ from 5° to 70°, by intensity:
2.797 Å, 31.99°, I = 100, (1 1 1)
2.320 Å, 38.82°, I = 60, (3 1 -1)
2.806 Å, 31.89°, I = 50, (4 0 0)
2.697 Å, 33.22°, I = 44, (2 0 -2)
2.595 Å, 34.56°, I = 39, (2 0 2)
1.757 Å, 52.04°, I = 25, (5 1 1)
1.703 Å, 53.83°, I = 21, (1 1 -3)
1.534 Å, 60.32°, I = 15, (3 1 3)
1.429 Å, 65.30°, I = 13, (4 2 0)
1.417 Å, 65.90°, I = 13, (7 1 -1)

Crystal structure
```
data_Hg2SbPb
_cell_length_a 11.2368
_cell_length_b 3.3207
_cell_length_c 6.0037
_cell_angle_alpha 90.00
_cell_angle_beta 92.65
_cell_angle_gamma 90.00
_symmetry_space_group_name_H-M 'C 1 m 1'
_symmetry_Int_Tables_number 8
loop_
_symmetry_equiv_pos_as_xyz
'x,y,z'
'x,-y,z'
'x+1/2,y+1/2,z'
'x+1/2,-y+1/2,z'
loop_
_atom_site_label
_atom_site_type_symbol
_atom_site_fract_x
_atom_site_fract_y
_atom_site_fract_z
Hg1 Hg 0.0000 0.0000 0.0000
Hg2 Hg 0.2503 0.0000 0.7924
Sb1 Sb 0.2637 0.5000 0.2828
Pb1 Pb 0.4988 0.0000 0.5085
```

6.
The following is a theoretical powder diffraction line list of Y2HoTm12. It was derived from a cell relaxed with GGA-PBE, using a wavelength of 1.5418 Å.
Intensities are scaled so that the largest is 100.

Most intense lines, 2θ from 5° to 70°, by intensity:
2.744 Å, 32.63°, I = 100, (0 4 0)
2.900 Å, 30.84°, I = 61, (0 2 7)
2.724 Å, 32.88°, I = 57, (2 2 -4)
2.837 Å, 31.54°, I = 45, (2 2 2)
2.625 Å, 34.16°, I = 35, (0 2 8)
2.920 Å, 30.61°, I = 30, (2 2 -2)
1.521 Å, 60.90°, I = 28, (2 2 13)
2.453 Å, 36.64°, I = 26, (2 2 5)
1.940 Å, 46.83°, I = 24, (2 4 -6)
1.485 Å, 62.53°, I = 21, (4 4 -1)

Crystal structure
```
data_Y2HoTm12
_cell_length_a 7.0648
_cell_length_b 10.9823
_cell_length_c 23.9685
_cell_angle_alpha 90.00
_cell_angle_beta 94.22
_cell_angle_gamma 90.00
_symmetry_space_group_name_H-M 'C 1 2/m 1'
_symmetry_Int_Tables_number 12
loop_
_symmetry_equiv_pos_as_xyz
'x,y,z'
'-x,-y,-z'
'-x,y,-z'
'x,-y,z'
'x+1/2,y+1/2,z'
'-x+1/2,-y+1/2,-z'
'-x+1/2,y+1/2,-z'
'x+1/2,-y+1/2,z'
loop_
_atom_site_label
_atom_site_type_symbol
_atom_site_fract_x
_atom_site_fract_y
_atom_site_fract_z
Y1 Y 0.0666 0.0000 0.2715
Y2 Y 0.0672 0.5000 0.2716
Ho1 Ho 0.2502 0.0000 0.0007
Tm1 Tm 0.0178 0.2499 0.0746
Tm2 Tm 0.1114 0.2496 0.4455
Tm3 Tm 0.1431 0.5000 0.5738
Tm4 Tm 0.1438 0.0000 0.5734
Tm5 Tm 0.1678 0.2502 0.6688
Tm6 Tm 0.2009 0.2488 0.7987
Tm7 Tm 0.2161 0.5000 0.8623
Tm8 Tm 0.2168 0.0000 0.8639
```

7.
The following is a theoretical powder diffraction line list of Ce3Ho2Pb4. It was derived from a cell relaxed with GGA-PBE, using a wavelength of 1.5418 Å.
Intensities are scaled so that the largest is 100.

Most intense lines, 2θ from 5° to 70°, by intensity:
2.998 Å, 29.80°, I = 100, (3 1 1)
2.730 Å, 32.81°, I = 55, (3 1 -2)
2.572 Å, 34.89°, I = 53, (0 2 0)
2.693 Å, 33.26°, I = 33, (6 0 -1)
2.954 Å, 30.26°, I = 33, (4 0 -2)
2.712 Å, 33.03°, I = 31, (5 1 -1)
2.657 Å, 33.73°, I = 25, (1 1 2)
1.940 Å, 46.84°, I = 21, (4 2 -2)
2.089 Å, 43.32°, I = 20, (1 1 -3)
3.944 Å, 22.54°, I = 16, (4 0 0)

Crystal structure
```
data_Ce3Ho2Pb4
_cell_length_a 16.3392
_cell_length_b 5.1435
_cell_length_c 6.9086
_cell_angle_alpha 90.00
_cell_angle_beta 105.08
_cell_angle_gamma 90.00
_symmetry_space_group_name_H-M 'C 1 2/m 1'
_symmetry_Int_Tables_number 12
loop_
_symmetry_equiv_pos_as_xyz
'x,y,z'
'-x,-y,-z'
'-x,y,-z'
'x,-y,z'
'x+1/2,y+1/2,z'
'-x+1/2,-y+1/2,-z'
'-x+1/2,y+1/2,-z'
'x+1/2,-y+1/2,z'
loop_
_atom_site_label
_atom_site_type_symbol
_atom_site_fract_x
_atom_site_fract_y
_atom_site_fract_z
Ce1 Ce 0.0000 0.0000 0.0000
Ce2 Ce 0.1173 0.0000 0.5810
Ho1 Ho 0.1662 0.5000 0.0740
Pb1 Pb 0.0067 0.5000 0.2840
Pb2 Pb 0.2434 0.0000 0.2822
```

8.
The following is a theoretical powder diffraction line list of Ac6Sn6Bi. It was derived from a cell relaxed with GGA-PBE, using a wavelength of 1.5418 Å.
Intensities are scaled so that the largest is 100.

Most intense lines, 2θ from 5° to 70°, by intensity:
2.637 Å, 33.99°, I = 100, (2 0 2)
3.438 Å, 25.91°, I = 89, (1 1 0)
2.942 Å, 30.39°, I = 64, (1 1 2)
2.841 Å, 31.49°, I = 48, (0 0 4)
1.471 Å, 63.22°, I = 41, (2 2 4)
1.719 Å, 53.29°, I = 40, (2 2 0)
2.190 Å, 41.22°, I = 39, (1 1 4)
2.978 Å, 30.01°, I = 33, (2 0 0)
4.111 Å, 21.62°, I = 24, (1 0 2)
1.659 Å, 55.39°, I = 22, (1 1 6)

Crystal structure
```
data_Ac6Sn6Bi
_cell_length_a 6.8766
_cell_length_b 6.8766
_cell_length_c 11.3629
_cell_angle_alpha 90.00
_cell_angle_beta 90.00
_cell_angle_gamma 120.00
_symmetry_space_group_name_H-M 'P 6/m m m'
_symmetry_Int_Tables_number 191
_symmetry_space_group_name_Hall '-P 6 2'
loop_
_atom_site_label
_atom_site_type_symbol
_atom_site_fract_x
_atom_site_fract_y
_atom_site_fract_z
Ac1 Ac 0.0000 0.0000 0.2123
Ac2 Ac 0.3333 0.6667 0.0000
Ac3 Ac 0.3333 0.6667 0.5000
Sn1 Sn 0.0000 0.5000 0.2472
Bi1 Bi 0.0000 0.0000 0.5000
```

9.
The following is a theoretical powder diffraction line list of Nd3Dy3Er5. It was derived from a cell relaxed with GGA-PBE, using a wavelength of 1.5418 Å.
Intensities are scaled so that the largest is 100.

Most intense lines, 2θ from 5° to 70°, by intensity:
2.726 Å, 32.85°, I = 100, (0 0 2)
2.476 Å, 36.29°, I = 63, (3 0 1)
3.311 Å, 26.93°, I = 54, (2 0 1)
5.448 Å, 16.27°, I = 45, (0 0 1)
2.779 Å, 32.21°, I = 37, (3 0 0)
8.338 Å, 10.61°, I = 29, (1 0 0)
1.945 Å, 46.69°, I = 27, (3 0 2)
3.151 Å, 28.32°, I = 27, (2 1 0)
2.129 Å, 42.47°, I = 24, (3 1 1)
1.513 Å, 61.25°, I = 20, (4 2 1)

Crystal structure
```
data_Nd3Dy3Er5
_cell_length_a 9.6274
_cell_length_b 9.6274
_cell_length_c 5.4478
_cell_angle_alpha 90.00
_cell_angle_beta 90.00
_cell_angle_gamma 120.00
_symmetry_space_group_name_H-M 'P -6 2 m'
_symmetry_Int_Tables_number 189
_symmetry_space_group_name_Hall 'P -6 -2'
loop_
_atom_site_label
_atom_site_type_symbol
_atom_site_fract_x
_atom_site_fract_y
_atom_site_fract_z
Nd1 Nd 0.0000 0.6332 0.0000
Dy1 Dy 0.0000 0.4518 0.5000
Er1 Er 0.0000 0.2659 0.0000
Er2 Er 0.3333 0.6667 0.0000
```

10.
The following is a theoretical powder diffraction line list of PaCu2Pd2. It was derived from a cell relaxed with GGA-PBE, using a wavelength of 1.5418 Å.
Intensities are scaled so that the largest is 100.

Most intense lines, 2θ from 5° to 70°, by intensity:
2.371 Å, 37.94°, I = 100, (1 1 2)
2.110 Å, 42.86°, I = 56, (1 0 5)
2.489 Å, 36.09°, I = 47, (0 1 3)
2.212 Å, 40.80°, I = 36, (2 0 0)
1.653 Å, 55.59°, I = 27, (2 1 3)
2.967 Å, 30.12°, I = 19, (1 0 3)
2.581 Å, 34.76°, I = 17, (1 1 0)
4.150 Å, 21.41°, I = 15, (1 0 1)
6.003 Å, 14.76°, I = 13, (0 0 2)
1.589 Å, 58.03°, I = 13, (0 2 0)

Crystal structure
```
data_PaCu2Pd2
_cell_length_a 4.4231
_cell_length_b 3.1786
_cell_length_c 12.0052
_cell_angle_alpha 90.00
_cell_angle_beta 90.03
_cell_angle_gamma 90.00
_symmetry_space_group_name_H-M 'P 1 21/m 1'
_symmetry_Int_Tables_number 11
loop_
_symmetry_equiv_pos_as_xyz
'x,y,z'
'-x,-y,-z'
'-x,y+1/2,-z'
'x,-y+1/2,z'
loop_
_atom_site_label
_atom_site_type_symbol
_atom_site_fract_x
_atom_site_fract_y
_atom_site_fract_z
Pa1 Pa 0.2494 0.2500 0.2524
Cu1 Cu 0.2494 0.7500 0.0246
Cu2 Cu 0.2504 0.2500 0.6415
Pd1 Pd 0.2499 0.7500 0.4651
Pd2 Pd 0.2506 0.2500 0.8523
```

11.
The following is a theoretical powder diffraction line list of Ta3VMo4. It was derived from a cell relaxed with GGA-PBE, using a wavelength of 1.5418 Å.
Intensities are scaled so that the largest is 100.

Most intense lines, 2θ from 5° to 70°, by intensity:
2.260 Å, 39.89°, I = 100, (1 1 0)
1.599 Å, 57.64°, I = 11, (2 0 0)
12.766 Å, 6.92°, I = 11, (0 0 1)
1.596 Å, 57.78°, I = 5, (0 0 8)
3.196 Å, 27.92°, I = 5, (0 0 4)
2.556 Å, 35.10°, I = 4, (1 0 3)
6.383 Å, 13.87°, I = 3, (0 0 2)
3.102 Å, 28.78°, I = 3, (1 0 1)
2.859 Å, 31.28°, I = 3, (1 0 2)
1.420 Å, 65.75°, I = 2, (1 1 7)

Crystal structure
```
data_Ta3VMo4
_cell_length_a 3.1984
_cell_length_b 3.1984
_cell_length_c 12.7656
_cell_angle_alpha 90.00
_cell_angle_beta 90.00
_cell_angle_gamma 90.00
_symmetry_space_group_name_H-M 'P 4/m m m'
_symmetry_Int_Tables_number 123
_symmetry_space_group_name_Hall '-P 4 2'
loop_
_atom_site_label
_atom_site_type_symbol
_atom_site_fract_x
_atom_site_fract_y
_atom_site_fract_z
Ta1 Ta 0.0000 0.0000 0.0000
Ta2 Ta 0.0000 0.0000 0.2545
V1 V 0.0000 0.0000 0.5000
Mo1 Mo 0.5000 0.5000 0.1278
Mo2 Mo 0.5000 0.5000 0.3826
```

12.
The following is a theoretical powder diffraction line list of LiZn5Ni6. It was derived from a cell relaxed with GGA-PBE, using a wavelength of 1.5418 Å.
Intensities are scaled so that the largest is 100.

Most intense lines, 2θ from 5° to 70°, by intensity:
2.073 Å, 43.67°, I = 100, (1 3 2)
1.948 Å, 46.62°, I = 41, (2 0 0)
1.378 Å, 68.06°, I = 12, (2 6 0)
1.573 Å, 58.69°, I = 10, (0 0 4)
6.292 Å, 14.08°, I = 3, (0 0 1)
3.187 Å, 28.00°, I = 3, (1 1 1)
4.282 Å, 20.74°, I = 3, (0 2 1)
5.845 Å, 15.16°, I = 2, (0 2 0)
3.696 Å, 24.08°, I = 2, (1 1 0)
2.524 Å, 35.57°, I = 1, (1 3 1)

Crystal structure
```
data_LiZn5Ni6
_cell_length_a 3.8959
_cell_length_b 11.6899
_cell_length_c 6.2921
_cell_angle_alpha 90.00
_cell_angle_beta 90.00
_cell_angle_gamma 90.00
_symmetry_space_group_name_H-M 'C m m m'
_symmetry_Int_Tables_number 65
_symmetry_space_group_name_Hall '-C 2 2'
loop_
_atom_site_label
_atom_site_type_symbol
_atom_site_fract_x
_atom_site_fract_y
_atom_site_fract_z
Li1 Li 0.0000 0.0000 0.0000
Zn1 Zn 0.0000 0.0000 0.5000
Zn2 Zn 0.0000 0.3337 0.5000
Zn3 Zn 0.0000 0.3365 0.0000
Ni1 Ni 0.0000 0.1671 0.2489
Ni2 Ni 0.0000 0.5000 0.2510
```